1.
Diffraction record for LiTlO2. The X-ray diffraction stick pattern is simulated, not measured: it uses a DFT-relaxed cell (GGA-PBE, the Materials Project) and Cu Kα X-rays.

Top 10 peaks for 5 to 70 degrees two-theta, sorted by position:
Position (°2θ)	I_rel
20.51	92
26.44	100
33.69	83
37.74	59
41.71	22
43.33	55
50.06	36
57.50	34
58.79	22
65.57	28

Structure:
abc: 3.371 3.371 4.331
angles: 90.00 90.00 90.00
Sites, in units of the cell vectors:
Li 0.000 0.000 0.000
Tl 0.500 0.500 0.500
O 0.000 0.000 0.500
O 0.500 0.500 0.000


2.
Diffraction record for Ba2LaCu3O8. The X-ray diffraction stick pattern is simulated, not measured: it uses a DFT-relaxed cell (GGA-PBE, the Materials Project) and Cu Kα X-rays.

Top 10 peaks for 5 to 70 degrees two-theta, sorted by position:
Position (°2θ)	I_rel
22.31	9
31.76	45
32.06	100
39.41	16
45.53	30
46.41	12
56.77	39
57.33	19
66.36	9
67.05	15

Structure:
abc: 3.984 3.984 11.739
angles: 90.00 90.00 90.00
Sites, in units of the cell vectors:
Ba 0.000 0.000 0.167
Ba 0.000 0.000 0.833
La 0.000 0.000 0.500
Cu 0.500 0.500 0.000
Cu 0.500 0.500 0.338
Cu 0.500 0.500 0.662
O 0.000 0.500 0.000
O 0.000 0.500 0.367
O 0.000 0.500 0.633
O 0.500 0.000 0.000
O 0.500 0.000 0.367
O 0.500 0.000 0.633
O 0.500 0.500 0.169
O 0.500 0.500 0.831


3.
Diffraction record for B3Pd16. The X-ray diffraction stick pattern is simulated, not measured: it uses a DFT-relaxed cell (GGA-PBE, the Materials Project) and Cu Kα X-rays.

Top 7 peaks for 5 to 70 degrees two-theta, sorted by position:
Position (°2θ)	I_rel
38.00	100
38.24	98
44.28	68
44.37	34
64.13	11
64.46	43
64.77	11

Structure:
abc: 9.154 9.154 9.104
angles: 113.29 113.29 53.06
Sites, in units of the cell vectors:
B 0.125 0.875 0.750
B 0.194 0.435 0.000
B 0.435 0.194 0.500
B 0.565 0.806 0.500
B 0.806 0.565 0.000
B 0.875 0.125 0.250
Pd 0.001 0.253 0.250
Pd 0.062 0.810 0.494
Pd 0.065 0.305 0.000
Pd 0.123 0.374 0.745
Pd 0.130 0.870 0.250
Pd 0.181 0.444 0.500
Pd 0.190 0.938 0.006
Pd 0.252 0.502 0.255
Pd 0.253 0.001 0.750
Pd 0.305 0.065 0.500
Pd 0.316 0.565 0.000
Pd 0.374 0.123 0.245
Pd 0.380 0.620 0.750
Pd 0.435 0.684 0.500
Pd 0.444 0.181 0.000
Pd 0.498 0.748 0.245
Pd 0.502 0.252 0.755
Pd 0.556 0.819 0.000
Pd 0.565 0.316 0.500
Pd 0.620 0.380 0.250
Pd 0.626 0.877 0.755
Pd 0.684 0.435 0.000
Pd 0.695 0.935 0.500
Pd 0.747 0.999 0.250
Pd 0.748 0.498 0.745
Pd 0.810 0.062 0.994
Pd 0.819 0.556 0.500
Pd 0.870 0.130 0.750
Pd 0.877 0.626 0.255
Pd 0.935 0.695 0.000
Pd 0.938 0.190 0.506
Pd 0.999 0.747 0.750


Q: What is the formula in the third record?
A: B3Pd16